Starting from a cell relaxed with PBE, the PXRD pattern of TbNd3Dy7 was simulated for Cu Ka.
Lines closer than 0.1° are merged.

Unit cell a=7.0836 b=7.0836 c=8.6984 alpha=90.00 beta=90.00 gamma=120.00
Space group P3m1 (No. 156)
One atom of each set of equivalent atoms:
Tb 0.0000 0.0000 0.0000 x1
Nd 0.1667 0.3334 0.3396 x3
Dy 0.0016 0.5008 0.0020 x3
Dy 0.3317 0.1659 0.6767 x3
Dy 0.3333 0.6667 0.6790 x1

Most intense lines, 10 to 90 degrees two-theta, in order of rising 2θ:
two_theta  I (rel.)
10.17  6
30.89  100
35.82  51
51.56  36
61.31  32
61.38  11
64.42  9
84.27  9
86.82  8
86.97  8